Entry 1:
Computed XRD peak list
Compound: Er2Pa2S7
Radiation: Cu Kα X-rays
Structure: the PBE geometry in Alexandria
Peak positions follow from Bragg's law for the DFT cell and can differ from measured ones.

Principal peaks in the range 5° ≤ 2θ ≤ 70°, most intense first:
d_spacing, I (rel.)
3.647, 100
2.478, 83
2.181, 60
3.146, 58
3.525, 56
3.486, 44
2.043, 36
1.709, 25
1.404, 22
1.934, 20

Atomic structure:
```
Er2Pa2S7
1.0
-1.934 6.972 4.279
1.934 -6.972 4.279
1.934 6.972 -4.279
Er Pa S
2 2 7
direct
0.000 0.000 0.000
0.539 0.039 0.500
0.476 0.237 0.240
0.997 0.237 0.760
0.186 0.547 0.639
0.254 0.938 0.316
0.316 0.316 0.000
0.611 0.721 0.889
0.621 0.938 0.684
0.832 0.721 0.111
0.908 0.547 0.361
```



Entry 2:
Computed XRD peak list
Compound: Mg7TlAg2
Radiation: Cu Kα X-rays
Structure: the PBE geometry in Alexandria
Peak positions follow from Bragg's law for the DFT cell and can differ from measured ones.

Principal peaks in the range 5° ≤ 2θ ≤ 70°, most intense first:
d_spacing, I (rel.)
3.912, 100
2.402, 63
2.364, 55
3.370, 43
2.035, 36
3.831, 34
1.379, 19
1.685, 19
11.493, 18
2.047, 17

Atomic structure:
```
Mg7TlAg2
1.0
4.804 0.000 0.000
-2.402 4.160 0.000
0.000 0.000 11.493
Mg Tl Ag
7 1 2
direct
0.000 0.000 0.000
0.000 0.000 0.255
0.000 0.000 0.534
0.333 0.667 0.133
0.333 0.667 0.702
0.667 0.333 0.360
0.667 0.333 0.854
0.333 0.667 0.431
0.000 0.000 0.767
0.667 0.333 0.110
```



Entry 3:
Computed XRD peak list
Compound: SiPH2
Radiation: Cu Kα X-rays
Structure: the PBE geometry in Alexandria
Peak positions follow from Bragg's law for the DFT cell and can differ from measured ones.

Principal peaks in the range 5° ≤ 2θ ≤ 70°, most intense first:
d_spacing, I (rel.)
4.247, 100
3.476, 53
2.767, 49
2.287, 35
2.054, 27
2.554, 26
2.024, 24
1.549, 23
2.874, 22
1.738, 21

Atomic structure:
```
SiPH2
1.0
4.570 0.000 0.000
0.000 3.647 0.000
0.000 0.000 11.494
Si P H
4 4 8
direct
0.250 0.000 0.064
0.250 0.500 0.436
0.750 0.000 0.936
0.750 0.500 0.564
0.092 0.250 0.250
0.408 0.750 0.250
0.592 0.250 0.750
0.908 0.750 0.750
0.074 0.240 0.958
0.074 0.260 0.542
0.426 0.740 0.542
0.426 0.760 0.958
0.574 0.240 0.042
0.574 0.260 0.458
0.926 0.740 0.458
0.926 0.760 0.042
```



Entry 4:
Computed XRD peak list
Compound: Ta3CrOs2
Radiation: Cu Kα X-rays
Structure: the PBE geometry in Alexandria
Peak positions follow from Bragg's law for the DFT cell and can differ from measured ones.

Principal peaks in the range 5° ≤ 2θ ≤ 70°, most intense first:
d_spacing, I (rel.)
2.236, 100
2.225, 50
1.574, 17
1.589, 8
2.820, 6
6.356, 3
1.534, 2
3.518, 2
3.147, 2
1.374, 1

Atomic structure:
```
Ta3CrOs2
1.0
2.227 -6.671 0.000
2.227 6.671 0.000
0.000 0.000 6.356
Ta Cr Os
6 2 4
direct
0.000 0.000 0.243
0.000 0.000 0.757
0.330 0.670 0.239
0.330 0.670 0.761
0.670 0.330 0.239
0.670 0.330 0.761
0.166 0.834 0.000
0.834 0.166 0.000
0.166 0.834 0.500
0.500 0.500 0.000
0.500 0.500 0.500
0.834 0.166 0.500
```